Record 1
Theoretical X-ray powder pattern of Bi2Rh3Se2 for Cu Kα, from DFT lattice parameters and positions (GGA-PBE).

Crystal structure
```
data_Bi2Rh3Se2
_cell_length_a 6.767
_cell_length_b 7.055
_cell_length_c 6.845
_cell_angle_alpha 90.00
_cell_angle_beta 113.82
_cell_angle_gamma 90.00
_symmetry_space_group_name_H-M 'P 1'
_symmetry_Int_Tables_number 1
loop_
_symmetry_equiv_pos_as_xyz
'x,y,z'
loop_
_atom_site_label
_atom_site_fract_x
_atom_site_fract_y
_atom_site_fract_z
Bi1 0.136 0.158 0.404
Bi2 0.136 0.342 0.904
Bi3 0.864 0.658 0.096
Bi4 0.864 0.842 0.596
Rh1 0.000 0.000 0.000
Rh2 0.000 0.500 0.500
Rh3 0.310 0.527 0.303
Rh4 0.310 0.973 0.803
Rh5 0.690 0.027 0.197
Rh6 0.690 0.473 0.697
Se1 0.358 0.654 0.659
Se2 0.358 0.846 0.159
Se3 0.642 0.154 0.841
Se4 0.642 0.346 0.341
```

The 10 most intense peaks (2θ = 10–90°), by angle:
d [Å], 2θ (°), intensity
6.191, 14.31, 39
3.066, 29.13, 48
3.000, 29.78, 100
2.862, 31.25, 59
2.835, 31.56, 81
2.427, 37.04, 39
2.217, 40.69, 43
2.166, 41.70, 45
2.142, 42.18, 45
1.987, 45.65, 75


Record 2
Theoretical X-ray powder pattern of BiRhSe2 for Cu Kα, from DFT lattice parameters and positions (GGA-PBE).

Crystal structure
```
data_BiRhSe2
_cell_length_a 8.620
_cell_length_b 8.620
_cell_length_c 12.199
_cell_angle_alpha 107.61
_cell_angle_beta 107.61
_cell_angle_gamma 87.71
_symmetry_space_group_name_H-M 'P 1'
_symmetry_Int_Tables_number 1
loop_
_symmetry_equiv_pos_as_xyz
'x,y,z'
loop_
_atom_site_label
_atom_site_fract_x
_atom_site_fract_y
_atom_site_fract_z
Bi1 0.138 0.681 0.827
Bi2 0.176 0.245 0.807
Bi3 0.245 0.176 0.307
Bi4 0.319 0.862 0.673
Bi5 0.681 0.138 0.327
Bi6 0.755 0.824 0.693
Bi7 0.824 0.755 0.193
Bi8 0.862 0.319 0.173
Rh1 0.068 0.587 0.301
Rh2 0.357 0.383 0.545
Rh3 0.383 0.357 0.045
Rh4 0.413 0.932 0.199
Rh5 0.587 0.068 0.801
Rh6 0.617 0.643 0.955
Rh7 0.643 0.617 0.455
Rh8 0.932 0.413 0.699
Se1 0.049 0.374 0.532
Se2 0.161 0.839 0.250
Se3 0.164 0.369 0.139
Se4 0.352 0.616 0.462
Se5 0.369 0.164 0.639
Se6 0.374 0.049 0.032
Se7 0.384 0.648 0.038
Se8 0.417 0.583 0.750
Se9 0.583 0.417 0.250
Se10 0.616 0.352 0.962
Se11 0.626 0.951 0.968
Se12 0.631 0.836 0.361
Se13 0.648 0.384 0.538
Se14 0.836 0.631 0.861
Se15 0.839 0.161 0.750
Se16 0.951 0.626 0.468
```

The 10 most intense peaks (2θ = 10–90°), by angle:
d [Å], 2θ (°), intensity
5.537, 16.01, 42
5.419, 16.36, 30
4.101, 21.67, 32
2.901, 30.83, 100
2.816, 31.77, 55
2.611, 34.35, 45
2.371, 37.95, 32
2.130, 42.43, 37
2.050, 44.19, 42
1.992, 45.54, 42


Record 3
Theoretical X-ray powder pattern of SmBiRh2 for Cu Kα, from DFT lattice parameters and positions (GGA-PBE).

Crystal structure
```
data_SmBiRh2
_cell_length_a 4.693
_cell_length_b 4.693
_cell_length_c 3.692
_cell_angle_alpha 90.00
_cell_angle_beta 90.00
_cell_angle_gamma 90.00
_symmetry_space_group_name_H-M 'P 1'
_symmetry_Int_Tables_number 1
loop_
_symmetry_equiv_pos_as_xyz
'x,y,z'
loop_
_atom_site_label
_atom_site_fract_x
_atom_site_fract_y
_atom_site_fract_z
Sm1 0.000 0.000 0.000
Bi1 0.500 0.500 0.000
Rh1 0.000 0.500 0.500
Rh2 0.500 0.000 0.500
```

The 10 most intense peaks (2θ = 10–90°), by angle:
d [Å], 2θ (°), intensity
3.319, 26.86, 7
2.468, 36.40, 100
2.347, 38.36, 43
1.846, 49.37, 11
1.659, 55.37, 15
1.451, 64.19, 19
1.377, 68.09, 32
1.234, 77.32, 11
1.173, 82.15, 5
1.154, 83.84, 9


Record 4
Theoretical X-ray powder pattern of Sm6Bi2Rh for Cu Kα, from DFT lattice parameters and positions (GGA-PBE).

Crystal structure
```
data_Sm6Bi2Rh
_cell_length_a 6.534
_cell_length_b 8.203
_cell_length_c 12.204
_cell_angle_alpha 90.00
_cell_angle_beta 120.39
_cell_angle_gamma 90.00
_symmetry_space_group_name_H-M 'P 1'
_symmetry_Int_Tables_number 1
loop_
_symmetry_equiv_pos_as_xyz
'x,y,z'
loop_
_atom_site_label
_atom_site_fract_x
_atom_site_fract_y
_atom_site_fract_z
Sm1 0.095 0.185 0.459
Sm2 0.095 0.315 0.959
Sm3 0.321 0.678 0.459
Sm4 0.321 0.822 0.959
Sm5 0.372 0.021 0.249
Sm6 0.372 0.479 0.749
Sm7 0.628 0.521 0.251
Sm8 0.628 0.979 0.751
Sm9 0.679 0.178 0.041
Sm10 0.679 0.322 0.541
Sm11 0.905 0.685 0.041
Sm12 0.905 0.815 0.541
Bi1 0.154 0.114 0.749
Bi2 0.154 0.386 0.249
Bi3 0.846 0.614 0.751
Bi4 0.846 0.886 0.251
Rh1 0.500 0.000 0.500
Rh2 0.500 0.500 0.000
```

The 10 most intense peaks (2θ = 10–90°), by angle:
d [Å], 2θ (°), intensity
3.235, 27.57, 66
2.940, 30.40, 86
2.926, 30.55, 87
2.891, 30.93, 41
2.875, 31.11, 46
2.666, 33.62, 100
2.632, 34.07, 69
2.593, 34.59, 49
2.522, 35.59, 73
1.756, 52.09, 35


Record 5
Theoretical X-ray powder pattern of Sm4Bi8Rh3 for Cu Kα, from DFT lattice parameters and positions (GGA-PBE).

Crystal structure
```
data_Sm4Bi8Rh3
_cell_length_a 4.629
_cell_length_b 4.629
_cell_length_c 19.087
_cell_angle_alpha 90.00
_cell_angle_beta 90.00
_cell_angle_gamma 90.00
_symmetry_space_group_name_H-M 'P 1'
_symmetry_Int_Tables_number 1
loop_
_symmetry_equiv_pos_as_xyz
'x,y,z'
loop_
_atom_site_label
_atom_site_fract_x
_atom_site_fract_y
_atom_site_fract_z
Sm1 0.000 0.500 0.110
Sm2 0.000 0.500 0.614
Sm3 0.500 0.000 0.386
Sm4 0.500 0.000 0.890
Bi1 0.000 0.000 0.248
Bi2 0.000 0.000 0.752
Bi3 0.000 0.500 0.417
Bi4 0.000 0.500 0.926
Bi5 0.500 0.000 0.074
Bi6 0.500 0.000 0.583
Bi7 0.500 0.500 0.247
Bi8 0.500 0.500 0.753
Rh1 0.000 0.000 0.000
Rh2 0.000 0.000 0.500
Rh3 0.500 0.500 0.500
```

The 10 most intense peaks (2θ = 10–90°), by angle:
d [Å], 2θ (°), intensity
3.323, 26.83, 14
3.181, 28.05, 23
3.096, 28.84, 39
2.699, 33.19, 100
2.315, 38.91, 52
1.928, 47.14, 14
1.872, 48.65, 22
1.765, 51.81, 11
1.637, 56.20, 18
1.399, 66.85, 28


Record 6
Theoretical X-ray powder pattern of Sm4BiRh for Cu Kα, from DFT lattice parameters and positions (GGA-PBE).

Crystal structure
```
data_Sm4BiRh
_cell_length_a 8.362
_cell_length_b 8.362
_cell_length_c 6.140
_cell_angle_alpha 102.92
_cell_angle_beta 102.92
_cell_angle_gamma 114.45
_symmetry_space_group_name_H-M 'P 1'
_symmetry_Int_Tables_number 1
loop_
_symmetry_equiv_pos_as_xyz
'x,y,z'
loop_
_atom_site_label
_atom_site_fract_x
_atom_site_fract_y
_atom_site_fract_z
Sm1 0.068 0.706 0.927
Sm2 0.202 0.345 0.659
Sm3 0.294 0.932 0.573
Sm4 0.345 0.202 0.159
Sm5 0.655 0.798 0.841
Sm6 0.706 0.068 0.427
Sm7 0.798 0.655 0.341
Sm8 0.932 0.294 0.073
Bi1 0.377 0.623 0.250
Bi2 0.623 0.377 0.750
Rh1 0.001 0.999 0.750
Rh2 0.999 0.001 0.250
```

The 10 most intense peaks (2θ = 10–90°), by angle:
d [Å], 2θ (°), intensity
3.014, 29.64, 41
2.990, 29.88, 61
2.976, 30.02, 44
2.940, 30.40, 89
2.714, 33.00, 70
2.662, 33.67, 57
2.609, 34.37, 100
2.562, 35.02, 48
2.371, 37.95, 33
1.503, 61.72, 31


Record 7
Theoretical X-ray powder pattern of Sm8Bi2Rh3 for Cu Kα, from DFT lattice parameters and positions (GGA-PBE).

Crystal structure
```
data_Sm8Bi2Rh3
_cell_length_a 9.125
_cell_length_b 9.125
_cell_length_c 6.935
_cell_angle_alpha 103.66
_cell_angle_beta 103.66
_cell_angle_gamma 52.27
_symmetry_space_group_name_H-M 'P 1'
_symmetry_Int_Tables_number 1
loop_
_symmetry_equiv_pos_as_xyz
'x,y,z'
loop_
_atom_site_label
_atom_site_fract_x
_atom_site_fract_y
_atom_site_fract_z
Sm1 0.089 0.089 0.377
Sm2 0.154 0.640 0.105
Sm3 0.360 0.846 0.895
Sm4 0.399 0.399 0.600
Sm5 0.601 0.601 0.400
Sm6 0.640 0.154 0.105
Sm7 0.846 0.360 0.895
Sm8 0.911 0.911 0.623
Bi1 0.244 0.244 0.170
Bi2 0.756 0.756 0.830
Rh1 0.250 0.750 0.500
Rh2 0.500 0.500 0.000
Rh3 0.750 0.250 0.500
```

The 10 most intense peaks (2θ = 10–90°), by angle:
d [Å], 2θ (°), intensity
7.903, 11.20, 20
4.623, 19.20, 29
4.120, 21.57, 22
3.012, 29.66, 37
2.969, 30.10, 21
2.825, 31.68, 59
2.791, 32.07, 100
2.010, 45.11, 28
2.004, 45.26, 51
1.638, 56.17, 23


Record 8
Theoretical X-ray powder pattern of SmBi12Rh4 for Cu Kα, from DFT lattice parameters and positions (GGA-PBE).

Crystal structure
```
data_SmBi12Rh4
_cell_length_a 8.526
_cell_length_b 8.526
_cell_length_c 8.526
_cell_angle_alpha 109.47
_cell_angle_beta 109.47
_cell_angle_gamma 109.47
_symmetry_space_group_name_H-M 'P 1'
_symmetry_Int_Tables_number 1
loop_
_symmetry_equiv_pos_as_xyz
'x,y,z'
loop_
_atom_site_label
_atom_site_fract_x
_atom_site_fract_y
_atom_site_fract_z
Sm1 0.000 0.000 0.000
Bi1 0.159 0.332 0.491
Bi2 0.159 0.668 0.827
Bi3 0.173 0.841 0.332
Bi4 0.332 0.173 0.841
Bi5 0.332 0.491 0.159
Bi6 0.491 0.159 0.332
Bi7 0.509 0.841 0.668
Bi8 0.668 0.509 0.841
Bi9 0.668 0.827 0.159
Bi10 0.827 0.159 0.668
Bi11 0.841 0.332 0.173
Bi12 0.841 0.668 0.509
Rh1 0.000 0.000 0.500
Rh2 0.000 0.500 0.000
Rh3 0.500 0.000 0.000
Rh4 0.500 0.500 0.500
```

The 10 most intense peaks (2θ = 10–90°), by angle:
d [Å], 2θ (°), intensity
3.113, 28.67, 100
2.631, 34.07, 49
2.201, 41.00, 18
2.010, 45.11, 22
1.931, 47.07, 24
1.688, 54.33, 23
1.641, 56.05, 12
1.452, 64.16, 21
1.177, 81.86, 10
1.160, 83.28, 15


Record 9
Theoretical X-ray powder pattern of Sr3Bi4Rh4 for Cu Kα, from DFT lattice parameters and positions (GGA-PBE).

Crystal structure
```
data_Sr3Bi4Rh4
_cell_length_a 7.257
_cell_length_b 7.257
_cell_length_c 7.257
_cell_angle_alpha 109.47
_cell_angle_beta 109.47
_cell_angle_gamma 109.47
_symmetry_space_group_name_H-M 'P 1'
_symmetry_Int_Tables_number 1
loop_
_symmetry_equiv_pos_as_xyz
'x,y,z'
loop_
_atom_site_label
_atom_site_fract_x
_atom_site_fract_y
_atom_site_fract_z
Sr1 0.000 0.500 0.500
Sr2 0.500 0.000 0.500
Sr3 0.500 0.500 0.000
Bi1 0.000 0.000 0.619
Bi2 0.000 0.619 0.000
Bi3 0.381 0.381 0.381
Bi4 0.619 0.000 0.000
Rh1 0.000 0.000 0.254
Rh2 0.000 0.254 0.000
Rh3 0.254 0.000 0.000
Rh4 0.746 0.746 0.746
```

The 10 most intense peaks (2θ = 10–90°), by angle:
d [Å], 2θ (°), intensity
5.926, 14.95, 48
4.190, 21.20, 24
3.421, 26.05, 50
2.963, 30.16, 87
2.650, 33.83, 85
2.240, 40.27, 64
1.975, 45.95, 100
1.787, 51.12, 28
1.359, 69.10, 38
1.140, 85.07, 30


Record 10
Theoretical X-ray powder pattern of SrBi2Rh2 for Cu Kα, from DFT lattice parameters and positions (GGA-PBE).

Crystal structure
```
data_SrBi2Rh2
_cell_length_a 6.196
_cell_length_b 6.196
_cell_length_c 6.196
_cell_angle_alpha 132.87
_cell_angle_beta 132.87
_cell_angle_gamma 68.86
_symmetry_space_group_name_H-M 'P 1'
_symmetry_Int_Tables_number 1
loop_
_symmetry_equiv_pos_as_xyz
'x,y,z'
loop_
_atom_site_label
_atom_site_fract_x
_atom_site_fract_y
_atom_site_fract_z
Sr1 0.000 0.000 0.000
Bi1 0.250 0.750 0.500
Bi2 0.750 0.250 0.500
Rh1 0.371 0.371 0.000
Rh2 0.629 0.629 0.000
```

The 10 most intense peaks (2θ = 10–90°), by angle:
d [Å], 2θ (°), intensity
5.110, 17.35, 45
2.890, 30.95, 100
2.807, 31.88, 24
2.477, 36.26, 69
2.229, 40.47, 23
2.064, 43.86, 46
1.752, 52.22, 25
1.532, 60.43, 18
1.498, 61.95, 29
1.336, 70.51, 23


Record 11
Theoretical X-ray powder pattern of Sr3Bi5Rh6 for Cu Kα, from DFT lattice parameters and positions (GGA-PBE).

Crystal structure
```
data_Sr3Bi5Rh6
_cell_length_a 4.418
_cell_length_b 13.423
_cell_length_c 11.323
_cell_angle_alpha 90.00
_cell_angle_beta 90.00
_cell_angle_gamma 90.00
_symmetry_space_group_name_H-M 'P 1'
_symmetry_Int_Tables_number 1
loop_
_symmetry_equiv_pos_as_xyz
'x,y,z'
loop_
_atom_site_label
_atom_site_fract_x
_atom_site_fract_y
_atom_site_fract_z
Sr1 0.250 0.082 0.242
Sr2 0.250 0.418 0.242
Sr3 0.250 0.750 0.241
Sr4 0.750 0.250 0.759
Sr5 0.750 0.582 0.758
Sr6 0.750 0.918 0.758
Bi1 0.250 0.082 0.637
Bi2 0.250 0.418 0.637
Bi3 0.250 0.618 0.985
Bi4 0.250 0.750 0.644
Bi5 0.250 0.882 0.985
Bi6 0.750 0.118 0.015
Bi7 0.750 0.250 0.356
Bi8 0.750 0.382 0.015
Bi9 0.750 0.582 0.363
Bi10 0.750 0.918 0.363
Rh1 0.250 0.068 0.877
Rh2 0.250 0.250 0.499
Rh3 0.250 0.250 0.990
Rh4 0.250 0.432 0.877
Rh5 0.250 0.586 0.501
Rh6 0.250 0.914 0.501
Rh7 0.750 0.086 0.499
Rh8 0.750 0.414 0.499
Rh9 0.750 0.568 0.123
Rh10 0.750 0.750 0.010
Rh11 0.750 0.750 0.501
Rh12 0.750 0.932 0.123
```

The 10 most intense peaks (2θ = 10–90°), by angle:
d [Å], 2θ (°), intensity
5.662, 15.65, 25
3.510, 25.37, 20
2.885, 30.99, 22
2.870, 31.17, 34
2.748, 32.58, 100
2.237, 40.32, 29
2.209, 40.85, 41
2.104, 43.00, 59
2.021, 44.86, 23
1.572, 58.74, 19


Record 12
Theoretical X-ray powder pattern of Tb4BiRh for Cu Kα, from DFT lattice parameters and positions (GGA-PBE).

Crystal structure
```
data_Tb4BiRh
_cell_length_a 8.151
_cell_length_b 8.151
_cell_length_c 6.087
_cell_angle_alpha 102.70
_cell_angle_beta 102.70
_cell_angle_gamma 112.82
_symmetry_space_group_name_H-M 'P 1'
_symmetry_Int_Tables_number 1
loop_
_symmetry_equiv_pos_as_xyz
'x,y,z'
loop_
_atom_site_label
_atom_site_fract_x
_atom_site_fract_y
_atom_site_fract_z
Tb1 0.061 0.716 0.931
Tb2 0.206 0.353 0.655
Tb3 0.284 0.939 0.569
Tb4 0.353 0.206 0.155
Tb5 0.647 0.794 0.845
Tb6 0.716 0.061 0.431
Tb7 0.794 0.647 0.345
Tb8 0.939 0.284 0.069
Bi1 0.375 0.625 0.250
Bi2 0.625 0.375 0.750
Rh1 0.001 0.999 0.750
Rh2 0.999 0.001 0.250
```

The 10 most intense peaks (2θ = 10–90°), by angle:
d [Å], 2θ (°), intensity
2.964, 30.15, 60
2.920, 30.62, 83
2.901, 30.82, 38
2.646, 33.88, 36
2.612, 34.33, 100
2.581, 34.76, 55
2.522, 35.60, 47
2.495, 36.00, 27
2.355, 38.21, 30
1.722, 53.21, 27